This entry pairs a crystal structure of Cd2SiRu with its calculated powder X-ray diffraction pattern. Radiation: copper Kα. Structure: a cell relaxed with PBE.

Structure:
Cell: 7.3444 7.3444 3.8947 Å, 105.31 105.31 22.32°
Fractional positions:
Cd 0.1802 0.1802 0.1795
Cd 0.8198 0.8198 0.8205
Si 0.0000 0.0000 0.5000
Ru 0.5000 0.5000 0.0000

Main lines, by angle (2θ = 15–90°):
d 3.750, I = 84
d 2.422, I = 78
d 2.313, I = 43
d 2.260, I = 49
d 2.180, I = 100
d 1.518, I = 35